1.
This entry pairs a crystal structure of NbCu3Te2S2 with its theoretical powder X-ray diffraction pattern. Radiation: λ = 1.5418 Å (Cu Kα). Structure: a structure optimized by DFT (GGA-PBE).
Kinematic intensities with the Lorentz-polarization factor, no thermal factor.

Structural model:
```
8
Lattice="3.989 -4.146 0.000 3.989 4.146 0.000 0.000 0.000 5.708" Properties=species:S:1:pos:R:3 pbc="T T T"
Nb 0.000 0.000 0.000
Cu 0.000 0.000 2.779
Cu 1.994 2.073 0.125
Cu 1.994 -2.073 0.125
Te 2.183 0.000 4.196
Te 5.794 0.000 4.196
S 3.989 2.250 1.357
S 3.989 -2.250 1.357
```

Main lines, in order of falling intensity (2θ = 10–90°):
d (Å)	2θ (°)	I/Imax
2.025	44.7	100
3.355	26.6	75
3.270	27.3	51
5.708	15.5	47
5.749	15.4	43
2.567	34.9	42
2.073	43.7	28
1.994	45.5	22
2.532	35.5	22
4.146	21.4	22
2.556	35.1	21
1.714	53.5	16

---

2.
This entry pairs a crystal structure of Nb2CuSi2Sb with its theoretical powder X-ray diffraction pattern. Radiation: λ = 1.5418 Å (Cu Kα). Structure: a structure optimized by DFT (GGA-PBE).
Kinematic intensities with the Lorentz-polarization factor, no thermal factor.

Structural model:
```
6
Lattice="4.088 0.000 0.000 0.000 4.088 0.000 0.000 0.000 6.430" Properties=species:S:1:pos:R:3 pbc="T T T"
Nb 0.000 2.044 0.000
Nb 2.044 0.000 0.000
Cu 0.000 0.000 2.030
Si 0.000 0.000 4.457
Si 2.044 2.044 1.679
Sb 2.044 2.044 4.297
```

Main lines, in order of falling intensity (2θ = 10–90°):
d (Å)	2θ (°)	I/Imax
2.636	34.0	100
2.150	42.0	81
2.044	44.3	52
1.199	80.0	39
1.479	62.8	31
3.450	25.8	31
6.430	13.8	27
2.143	42.2	27
1.267	74.9	19
2.527	35.5	18
1.445	64.5	17
1.175	82.0	12

---

3.
This entry pairs a crystal structure of NbCu3Se4 with its theoretical powder X-ray diffraction pattern. Radiation: λ = 1.5418 Å (Cu Kα). Structure: a structure optimized by DFT (GGA-PBE).
Kinematic intensities with the Lorentz-polarization factor, no thermal factor.

Structural model:
```
8
Lattice="3.986 -4.026 0.000 3.986 4.026 0.000 0.000 0.000 5.662" Properties=species:S:1:pos:R:3 pbc="T T T"
Nb 0.000 0.000 0.000
Cu 0.000 0.000 2.830
Cu 1.993 2.013 5.648
Cu 1.993 -2.013 5.648
Se 3.986 2.014 1.429
Se 2.016 0.000 4.242
Se 5.955 0.000 4.242
Se 3.986 -2.014 1.429
```

Main lines, in order of falling intensity (2θ = 10–90°):
d (Å)	2θ (°)	I/Imax
2.002	45.3	100
5.664	15.6	79
3.259	27.4	61
3.281	27.2	60
2.533	35.4	30
1.704	53.8	26
2.013	45.0	25
1.993	45.5	25
1.416	66.0	23
1.713	53.5	18
1.160	83.3	16
1.152	84.0	16

---

4.
This entry pairs a crystal structure of NbCu3Te3Se with its theoretical powder X-ray diffraction pattern. Radiation: λ = 1.5418 Å (Cu Kα). Structure: a structure optimized by DFT (GGA-PBE).
Kinematic intensities with the Lorentz-polarization factor, no thermal factor.

Structural model:
```
8
Lattice="4.146 2.394 3.437 -4.146 2.394 3.437 0.000 -4.787 3.437" Properties=species:S:1:pos:R:3 pbc="T T T"
Nb 0.000 0.000 0.000
Cu 0.000 -2.354 1.729
Cu -2.039 1.177 1.729
Cu 2.039 1.177 1.729
Te -1.964 -1.134 5.983
Te 1.964 -1.134 5.983
Te 0.000 2.268 5.983
Se 0.000 0.000 2.474
```

Main lines, in order of falling intensity (2θ = 10–90°):
d (Å)	2θ (°)	I/Imax
3.391	26.3	100
2.094	43.2	69
2.073	43.7	66
5.892	15.0	39
3.437	25.9	38
1.775	51.5	32
2.625	34.2	25
1.473	63.1	21
1.201	79.9	20
1.788	51.1	15
1.769	51.7	14
2.646	33.9	13

---

5.
This entry pairs a crystal structure of NbCu3Te2Se2 with its theoretical powder X-ray diffraction pattern. Radiation: λ = 1.5418 Å (Cu Kα). Structure: a structure optimized by DFT (GGA-PBE).
Kinematic intensities with the Lorentz-polarization factor, no thermal factor.

Structural model:
```
8
Lattice="4.071 -4.159 0.000 4.071 4.159 0.000 0.000 0.000 5.799" Properties=species:S:1:pos:R:3 pbc="T T T"
Nb 0.000 0.000 0.000
Cu 0.000 0.000 2.864
Cu 2.036 2.079 0.046
Cu 2.036 -2.079 0.046
Te 2.184 0.000 4.272
Te 5.959 0.000 4.272
Se 4.071 2.145 1.434
Se 4.071 -2.145 1.434
```

Main lines, in order of falling intensity (2θ = 10–90°):
d (Å)	2θ (°)	I/Imax
2.054	44.1	100
3.380	26.4	78
3.332	26.8	66
5.811	15.2	54
1.745	52.4	32
2.598	34.5	31
2.079	43.5	27
2.036	44.5	23
1.764	51.8	20
1.196	80.3	16
1.455	64.0	15
1.179	81.7	13

---

6.
This entry pairs a crystal structure of ZrNbCu2Sn4 with its theoretical powder X-ray diffraction pattern. Radiation: λ = 1.5418 Å (Cu Kα). Structure: a structure optimized by DFT (GGA-PBE).
Kinematic intensities with the Lorentz-polarization factor, no thermal factor.

Structural model:
```
8
Lattice="4.108 0.000 0.000 0.000 4.108 0.000 0.000 0.000 9.312" Properties=species:S:1:pos:R:3 pbc="T T T"
Zr 0.000 0.000 0.000
Nb 2.054 2.054 4.790
Cu 0.000 2.054 2.409
Cu 2.054 0.000 2.409
Sn 0.000 0.000 4.058
Sn 0.000 2.054 6.991
Sn 2.054 0.000 6.991
Sn 2.054 2.054 0.744
```

Main lines, in order of falling intensity (2θ = 10–90°):
d (Å)	2θ (°)	I/Imax
2.465	36.5	100
2.054	44.1	38
1.251	76.1	23
3.081	29.0	15
1.452	64.1	13
1.540	60.1	11
2.773	32.3	11
2.328	38.7	11
3.104	28.8	9
2.025	44.7	8
1.696	54.1	7
1.713	53.5	7

---

7.
This entry pairs a crystal structure of Th2NbCu6 with its theoretical powder X-ray diffraction pattern. Radiation: λ = 1.5418 Å (Cu Kα). Structure: a structure optimized by DFT (GGA-PBE).
Kinematic intensities with the Lorentz-polarization factor, no thermal factor.

Structural model:
```
9
Lattice="3.710 0.000 0.000 0.000 3.710 0.000 0.000 0.000 13.644" Properties=species:S:1:pos:R:3 pbc="T T T"
Th 0.000 0.000 2.749
Th 0.000 0.000 10.895
Nb 1.855 1.855 6.822
Cu 0.000 0.000 0.000
Cu 0.000 0.000 6.822
Cu 0.000 1.855 4.949
Cu 0.000 1.855 8.695
Cu 1.855 0.000 4.949
Cu 1.855 0.000 8.695
```

Main lines, in order of falling intensity (2θ = 10–90°):
d (Å)	2θ (°)	I/Imax
2.273	39.7	100
3.710	24.0	83
2.079	43.5	62
3.259	27.4	52
2.198	41.1	51
1.855	49.1	47
3.580	24.9	34
1.418	65.9	26
2.875	31.1	24
1.136	85.5	24
2.623	34.2	23
6.822	13.0	19

---

8.
This entry pairs a crystal structure of NbTlZnCu with its theoretical powder X-ray diffraction pattern. Radiation: λ = 1.5418 Å (Cu Kα). Structure: a structure optimized by DFT (GGA-PBE).
Kinematic intensities with the Lorentz-polarization factor, no thermal factor.

Structural model:
```
4
Lattice="0.000 3.246 3.246 3.246 0.000 3.246 3.246 3.246 0.000" Properties=species:S:1:pos:R:3 pbc="T T T"
Nb 0.000 0.000 0.000
Tl 3.246 3.246 3.246
Zn 1.623 1.623 1.623
Cu 4.868 4.868 4.868
```

Main lines, in order of falling intensity (2θ = 10–90°):
d (Å)	2θ (°)	I/Imax
2.295	39.3	100
1.325	71.2	34
1.623	56.7	17
3.246	27.5	16
3.748	23.7	13
1.147	84.4	11
1.957	46.4	7
1.451	64.2	6
1.874	48.6	5
1.489	62.4	3
1.097	89.3	3
1.249	76.2	2

---

9.
This entry pairs a crystal structure of NdCu6 with its theoretical powder X-ray diffraction pattern. Radiation: λ = 1.5418 Å (Cu Kα). Structure: a structure optimized by DFT (GGA-PBE).
Kinematic intensities with the Lorentz-polarization factor, no thermal factor.

Structural model:
```
28
Lattice="5.066 0.000 0.000 0.000 10.112 0.000 -0.158 0.000 8.060" Properties=species:S:1:pos:R:3 pbc="T T T"
Nd 1.193 0.647 1.933
Nd 1.114 4.409 5.963
Nd 3.794 5.703 2.097
Nd 3.715 9.465 6.127
Cu -0.069 1.943 4.567
Cu 0.010 3.114 0.537
Cu 1.159 7.529 5.503
Cu 1.238 7.640 1.473
Cu 1.254 5.224 0.799
Cu 1.175 9.945 4.829
Cu 1.158 1.443 6.878
Cu 1.237 3.613 2.848
Cu 1.285 6.030 3.526
Cu 1.207 9.138 7.556
Cu 2.410 1.915 4.541
Cu 2.489 3.141 0.511
Cu 2.419 6.971 7.549
Cu 2.498 8.197 3.519
Cu 3.702 0.974 0.504
Cu 3.623 4.082 4.534
Cu 3.671 6.499 5.212
Cu 3.750 8.669 1.182
Cu 3.733 0.168 3.231
Cu 3.654 4.889 7.261
Cu 3.670 2.472 6.587
Cu 3.749 2.584 2.557
Cu 4.898 6.999 7.523
Cu 4.977 8.170 3.493
```

Main lines, in order of falling intensity (2θ = 10–90°):
d (Å)	2θ (°)	I/Imax
2.292	39.3	100
2.412	37.3	61
2.329	38.7	56
1.978	45.9	50
1.963	46.2	46
2.315	38.9	43
2.532	35.4	40
2.264	39.8	32
2.806	31.9	27
2.163	41.8	25
1.957	46.4	24
1.971	46.1	22

---

10.
This entry pairs a crystal structure of NdCu2Ni2Pd with its theoretical powder X-ray diffraction pattern. Radiation: λ = 1.5418 Å (Cu Kα). Structure: a structure optimized by DFT (GGA-PBE).
Kinematic intensities with the Lorentz-polarization factor, no thermal factor.

Structural model:
```
6
Lattice="2.478 -4.629 0.000 2.478 4.629 0.000 0.000 0.000 4.004" Properties=species:S:1:pos:R:3 pbc="T T T"
Nd 0.000 0.000 0.000
Cu 2.478 1.684 0.000
Cu 2.478 -1.684 0.000
Ni 1.239 2.314 2.002
Ni 1.239 -2.314 2.002
Pd 2.478 0.000 2.002
```

Main lines, in order of falling intensity (2θ = 10–90°):
d (Å)	2θ (°)	I/Imax
2.192	41.2	100
2.952	30.3	59
2.002	45.3	38
2.185	41.3	28
2.107	42.9	28
2.314	38.9	26
1.369	68.6	21
1.096	89.4	17
2.478	36.2	16
2.620	34.2	16
1.476	63.0	16
1.310	72.1	16

---

11.
This entry pairs a crystal structure of NdCu2Ni2Pt with its theoretical powder X-ray diffraction pattern. Radiation: λ = 1.5418 Å (Cu Kα). Structure: a structure optimized by DFT (GGA-PBE).
Kinematic intensities with the Lorentz-polarization factor, no thermal factor.

Structural model:
```
6
Lattice="2.477 -4.608 0.000 2.477 4.608 0.000 0.000 0.000 4.035" Properties=species:S:1:pos:R:3 pbc="T T T"
Nd 0.000 0.000 0.000
Cu 2.477 1.659 0.000
Cu 2.477 -1.659 0.000
Ni 1.238 2.304 2.018
Ni 1.238 -2.304 2.018
Pt 2.477 0.000 2.018
```

Main lines, in order of falling intensity (2θ = 10–90°):
d (Å)	2θ (°)	I/Imax
2.192	41.2	100
2.963	30.2	80
2.018	44.9	32
2.182	41.4	32
2.304	39.1	25
1.368	68.6	22
1.919	47.4	21
2.477	36.3	19
1.481	62.7	19
1.096	89.4	17
4.363	20.4	15
1.196	80.3	14

---

12.
This entry pairs a crystal structure of NdCu2NiPt2 with its theoretical powder X-ray diffraction pattern. Radiation: λ = 1.5418 Å (Cu Kα). Structure: a structure optimized by DFT (GGA-PBE).
Kinematic intensities with the Lorentz-polarization factor, no thermal factor.

Structural model:
```
6
Lattice="2.736 -4.392 0.000 2.736 4.392 0.000 0.000 0.000 4.079" Properties=species:S:1:pos:R:3 pbc="T T T"
Nd 0.000 0.000 0.000
Cu 2.736 1.351 0.000
Cu 2.736 -1.351 0.000
Ni 2.736 0.000 2.039
Pt 1.368 2.196 2.039
Pt 1.368 -2.196 2.039
```

Main lines, in order of falling intensity (2θ = 10–90°):
d (Å)	2θ (°)	I/Imax
2.272	39.7	100
2.989	29.9	100
2.322	38.8	87
2.181	41.4	58
2.039	44.4	54
2.018	44.9	49
1.532	60.4	48
4.392	20.2	37
2.196	41.1	30
1.933	47.0	28
1.091	90.0	28
1.579	58.4	24